Calculated PXRD pattern
Compound: K4La3FeO8
Radiation: Cu Kα (λ = 1.5418 Å)
Structure: the PBE+U geometry in Alexandria

Main lines, low angle first (5 to 70 degrees two-theta):
- d 6.371, 13.90 deg, I = 97
- d 3.185, 28.01 deg, I = 44
- d 2.985, 29.93 deg, I = 100
- d 2.872, 31.15 deg, I = 59
- d 2.524, 35.57 deg, I = 83
- d 1.943, 46.75 deg, I = 32
- d 1.851, 49.21 deg, I = 30
- d 1.746, 52.39 deg, I = 22

Cell and atoms:
```
data_K4La3FeO8
_space_group_name_H-M_alt 'P 1'
_space_group_IT_number 1
_space_group_name_Hall 'P 1'
_cell_length_a 7.4681
_cell_length_b 7.4681
_cell_length_c 7.3226
_cell_angle_alpha 115.84
_cell_angle_beta 115.84
_cell_angle_gamma 55.75
loop_
_atom_site_label
_atom_site_type_symbol
_atom_site_fract_x
_atom_site_fract_y
_atom_site_fract_z
K1 K 0.0000 0.0000 0.0000
K2 K 0.0000 0.5000 0.0000
K3 K 0.5000 0.0000 0.0000
K4 K 0.5000 0.5000 0.0000
La1 La 0.0000 0.0000 0.5000
La2 La 0.0000 0.5000 0.5000
La3 La 0.5000 0.0000 0.5000
Fe1 Fe 0.5000 0.5000 0.5000
O1 O 0.2127 0.2127 0.6902
O2 O 0.2141 0.2141 0.2603
O3 O 0.2687 0.6760 0.6557
O4 O 0.3240 0.7313 0.3443
O5 O 0.6760 0.2687 0.6557
O6 O 0.7313 0.3240 0.3443
O7 O 0.7859 0.7859 0.7397
O8 O 0.7873 0.7873 0.3098
```